Simulated powder XRD pattern
Compound: Sc2TiPt3
Radiation: Cu Kα
Structure: a cell relaxed with GGA-PBE
Kinematic intensities with the Lorentz-polarization factor, no thermal factor.

Structural model:
```
12
Lattice="3.2659 0.0000 0.0000 0.0000 4.3804 0.0000 0.0000 0.0000 14.9097" Properties=species:S:1:pos:R:3 pbc="T T T"
Sc 0.0000 0.0000 2.6212
Sc 0.0000 0.0000 12.2885
Sc 1.6330 2.1902 4.8337
Sc 1.6330 2.1902 10.0760
Ti 0.0000 2.1902 0.0000
Ti 1.6330 0.0000 7.4548
Pt 0.0000 0.0000 5.4044
Pt 0.0000 0.0000 9.5053
Pt 0.0000 2.1902 7.4548
Pt 1.6330 0.0000 0.0000
Pt 1.6330 2.1902 2.0504
Pt 1.6330 2.1902 12.8593
```

Peak list (10 most intense, 2θ = 15–90°, sorted by position)
d = 3.286 Å, 27.14 deg, I 58
d = 3.190 Å, 27.97 deg, I 46
d = 2.485 Å, 36.15 deg, I 24
d = 2.469 Å, 36.40 deg, I 71
d = 2.190 Å, 41.22 deg, I 34
d = 2.143 Å, 42.18 deg, I 100
d = 1.806 Å, 50.55 deg, I 19
d = 1.784 Å, 51.20 deg, I 19
d = 1.295 Å, 73.05 deg, I 22
d = 1.255 Å, 75.79 deg, I 18

Simulated powder XRD pattern
Compound: SmMgAs
Radiation: Cu Kα
Structure: a cell relaxed with GGA-PBE
Kinematic intensities with the Lorentz-polarization factor, no thermal factor.

Structural model:
```
6
Lattice="2.5029 1.4451 8.1809 -2.5029 1.4451 8.1809 0.0000 -2.8902 8.1809" Properties=species:S:1:pos:R:3 pbc="T T T"
Sm 0.0000 0.0000 2.4915
Sm 0.0000 0.0000 22.0512
Mg 0.0000 0.0000 7.9958
Mg 0.0000 0.0000 16.5469
As 0.0000 0.0000 5.3728
As 0.0000 0.0000 19.1699
```

Peak list (10 most intense, 2θ = 15–90°, sorted by position)
d = 4.269 Å, 20.81 deg, I 93
d = 4.090 Å, 21.73 deg, I 38
d = 3.541 Å, 25.15 deg, I 23
d = 3.249 Å, 27.45 deg, I 33
d = 2.727 Å, 32.85 deg, I 60
d = 2.503 Å, 35.88 deg, I 100
d = 2.135 Å, 42.33 deg, I 60
d = 1.844 Å, 49.43 deg, I 72
d = 1.445 Å, 64.47 deg, I 27
d = 1.363 Å, 68.90 deg, I 24